[1]
Ba8Li13GaSb12: computed powder X-ray diffraction pattern (Cu Kα, 1.54184 Å), based on a structure optimized by DFT (GGA-PBE).
Peak positions follow from Bragg's law for the DFT cell and can differ from measured ones.

The 10 most intense peaks (2θ = 5–70°), sorted by position:
| two_theta | I_rel |
| --- | --- |
| 22.10 | 59.5 |
| 22.23 | 33.4 |
| 23.84 | 45.0 |
| 27.29 | 45.0 |
| 27.74 | 78.8 |
| 30.25 | 66.0 |
| 30.33 | 100.0 |
| 32.73 | 52.5 |
| 36.10 | 64.1 |
| 59.30 | 38.7 |

Crystal structure
```
data_Ba8Li13GaSb12
_chemical_formula_sum 'Ba8 Li13 Ga1 Sb12'
_cell_length_a 9.4872
_cell_length_b 9.4872
_cell_length_c 21.2057
_cell_angle_alpha 96.72
_cell_angle_beta 96.72
_cell_angle_gamma 30.40
_symmetry_space_group_name_H-M 'P 1'
_symmetry_Int_Tables_number 1
loop_
_symmetry_equiv_pos_as_xyz
'x,y,z'
loop_
_atom_site_label
_atom_site_fract_x
_atom_site_fract_y
_atom_site_fract_z
_atom_site_occupancy
Ba1 0.0000 0.0000 0.0000 1
Ba2 0.0478 0.0478 0.2126 1
Ba3 0.1890 0.1890 0.8712 1
Ba4 0.2333 0.2333 0.0846 1
Ba5 0.5028 0.5028 0.4945 1
Ba6 0.5504 0.5504 0.7095 1
Ba7 0.6863 0.6863 0.3679 1
Ba8 0.7300 0.7300 0.5818 1
Li1 0.0014 0.0014 0.3812 1
Li2 0.2302 0.2302 0.6986 1
Li3 0.3062 0.3062 0.4929 1
Li4 0.3584 0.3584 0.3669 1
Li5 0.3670 0.3670 0.7936 1
Li6 0.3763 0.3763 0.2136 1
Li7 0.4271 0.4271 0.0861 1
Li8 0.5002 0.5002 0.8820 1
Li9 0.7335 0.7335 0.1993 1
Li10 0.8077 0.8077 0.9954 1
Li11 0.8581 0.8581 0.8699 1
Li12 0.8674 0.8674 0.2893 1
Li13 0.9295 0.9295 0.5851 1
Ga1 0.8767 0.8767 0.7125 1
Sb1 0.0939 0.0939 0.6035 1
Sb2 0.1414 0.1414 0.4791 1
Sb3 0.2415 0.2415 0.2676 1
Sb4 0.3669 0.3669 0.9451 1
Sb5 0.3685 0.3685 0.6385 1
Sb6 0.4928 0.4928 0.3143 1
Sb7 0.5936 0.5936 0.1011 1
Sb8 0.6392 0.6392 0.9759 1
Sb9 0.7456 0.7456 0.7650 1
Sb10 0.8668 0.8668 0.4530 1
Sb11 0.8680 0.8680 0.1314 1
Sb12 0.9916 0.9916 0.8091 1
```

[2]
EuMgGa3: computed powder X-ray diffraction pattern (Cu Kα, 1.54184 Å), based on a structure optimized by DFT (GGA-PBE).
Peak positions follow from Bragg's law for the DFT cell and can differ from measured ones.

The 10 most intense peaks (2θ = 5–70°), sorted by position:
| two_theta | I_rel |
| --- | --- |
| 15.53 | 12.1 |
| 21.89 | 13.2 |
| 29.07 | 35.8 |
| 31.26 | 76.8 |
| 33.12 | 100.0 |
| 41.57 | 53.9 |
| 44.86 | 47.9 |
| 52.93 | 38.9 |
| 60.25 | 17.6 |
| 62.81 | 34.5 |

Crystal structure
```
data_EuMgGa3
_chemical_formula_sum 'Eu2 Mg2 Ga6'
_cell_length_a 4.3446
_cell_length_b 4.3446
_cell_length_c 11.4102
_cell_angle_alpha 90.00
_cell_angle_beta 90.00
_cell_angle_gamma 90.00
_symmetry_space_group_name_H-M 'P 1'
_symmetry_Int_Tables_number 1
loop_
_symmetry_equiv_pos_as_xyz
'x,y,z'
loop_
_atom_site_label
_atom_site_fract_x
_atom_site_fract_y
_atom_site_fract_z
_atom_site_occupancy
Eu1 0.0000 0.0000 0.0000 1
Eu2 0.5000 0.5000 0.5000 1
Mg1 0.0000 0.5000 0.7500 1
Mg2 0.5000 0.0000 0.2500 1
Ga1 0.0000 0.0000 0.3904 1
Ga2 0.0000 0.0000 0.6096 1
Ga3 0.0000 0.5000 0.2500 1
Ga4 0.5000 0.0000 0.7500 1
Ga5 0.5000 0.5000 0.1096 1
Ga6 0.5000 0.5000 0.8904 1
```